# 1
This entry pairs a crystal structure of SrBeH6Pd with its computed X-ray powder pattern. Radiation: Cu Kα, 1.54184 Å. Structure: a structure optimized by DFT (PBE).
Kinematic intensities with the Lorentz-polarization factor, no thermal factor.

a b c (Å): 4.5113 4.5113 4.6869
angles (deg): 90.00 90.00 120.00
Space group P-6m2 (No. 187)
Inequivalent atoms, fractional coordinates:
Sr 0.0000 0.0000 0.0000 [1 per cell]
Be 0.3333 0.6667 0.5000 [1 per cell]
H 0.0235 0.5118 0.2661 [6 per cell]
Pd 0.6667 0.3333 0.5000 [1 per cell]

Main lines, sorted by position (10 to 80 degrees two-theta):
- d 3.907, 2θ = 22.76°, rel. 28
- d 3.001, 2θ = 29.77°, rel. 100
- d 2.343, 2θ = 38.41°, rel. 11
- d 2.256, 2θ = 39.97°, rel. 31
- d 2.010, 2θ = 45.11°, rel. 10
- d 1.953, 2θ = 46.49°, rel. 5
- d 1.803, 2θ = 50.62°, rel. 22
- d 1.625, 2θ = 56.64°, rel. 23
- d 1.451, 2θ = 64.21°, rel. 11
- d 1.408, 2θ = 66.37°, rel. 19
- d 1.302, 2θ = 72.59°, rel. 5
- d 1.220, 2θ = 78.37°, rel. 6


# 2
This entry pairs a crystal structure of SrH2I2 with its computed X-ray powder pattern. Radiation: Cu Kα, 1.54184 Å. Structure: a structure optimized by DFT (PBE).
Kinematic intensities with the Lorentz-polarization factor, no thermal factor.

a b c (Å): 4.412 19.297 8.524
angles (deg): 90.00 90.00 90.00
Space group Cmc2_1 (No. 36)
Inequivalent atoms, fractional coordinates:
Sr 0.000 0.080 0.000 [4 per cell]
H 0.000 0.334 0.082 [4 per cell]
H 0.000 0.357 0.011 [4 per cell]
I 0.000 0.304 0.477 [4 per cell]
I 0.000 0.488 0.769 [4 per cell]

Main lines, sorted by position (10 to 80 degrees two-theta):
- d 6.388, 2θ = 13.86°, rel. 100
- d 3.898, 2θ = 22.81°, rel. 41
- d 3.346, 2θ = 26.64°, rel. 51
- d 3.194, 2θ = 27.93°, rel. 16
- d 3.027, 2θ = 29.51°, rel. 40
- d 2.905, 2θ = 30.78°, rel. 66
- d 2.767, 2θ = 32.35°, rel. 63
- d 2.206, 2θ = 40.91°, rel. 18
- d 2.130, 2θ = 42.43°, rel. 21
- d 2.099, 2θ = 43.09°, rel. 19
- d 2.084, 2θ = 43.43°, rel. 16
- d 1.718, 2θ = 53.32°, rel. 22


# 3
This entry pairs a crystal structure of NdMgNi4Sn2 with its computed X-ray powder pattern. Radiation: Cu Kα, 1.54184 Å. Structure: a structure optimized by DFT (PBE).
Kinematic intensities with the Lorentz-polarization factor, no thermal factor.

a b c (Å): 4.3339 4.3339 25.2466
angles (deg): 90.00 90.00 120.00
Space group R-3m (No. 166, hexagonal axes)
Inequivalent atoms, fractional coordinates:
Nd 0.0000 0.0000 0.0000 [3 per cell]
Mg 0.0000 0.0000 0.5000 [3 per cell]
Ni 0.0000 0.0000 0.1312 [6 per cell]
Ni 0.0000 0.0000 0.4012 [6 per cell]
Sn 0.0000 0.0000 0.2407 [6 per cell]

Main lines, sorted by position (10 to 80 degrees two-theta):
- d 3.712, 2θ = 23.97°, rel. 12
- d 3.226, 2θ = 27.65°, rel. 19
- d 3.012, 2θ = 29.66°, rel. 34
- d 2.601, 2θ = 34.49°, rel. 12
- d 2.415, 2θ = 37.22°, rel. 90
- d 2.167, 2θ = 41.68°, rel. 100
- d 1.958, 2θ = 46.37°, rel. 11
- d 1.613, 2θ = 57.10°, rel. 26
- d 1.509, 2θ = 61.42°, rel. 12
- d 1.454, 2θ = 64.04°, rel. 10
- d 1.294, 2θ = 73.14°, rel. 24
- d 1.251, 2θ = 76.08°, rel. 17


# 4
This entry pairs a crystal structure of LaTbMgAg with its computed X-ray powder pattern. Radiation: Cu Kα, 1.54184 Å. Structure: a structure optimized by DFT (PBE).
Kinematic intensities with the Lorentz-polarization factor, no thermal factor.

a b c (Å): 3.820 3.820 7.537
angles (deg): 90.00 90.00 90.00
Space group P4mm (No. 99)
Inequivalent atoms, fractional coordinates:
La 0.000 0.000 0.000 [1 per cell]
Tb 0.000 0.000 0.482 [1 per cell]
Mg 0.500 0.500 0.727 [1 per cell]
Ag 0.500 0.500 0.269 [1 per cell]

Main lines, sorted by position (10 to 80 degrees two-theta):
- d 7.537, 2θ = 11.74°, rel. 20
- d 3.820, 2θ = 23.28°, rel. 17
- d 3.769, 2θ = 23.61°, rel. 9
- d 2.701, 2θ = 33.16°, rel. 53
- d 2.683, 2θ = 33.40°, rel. 100
- d 2.196, 2θ = 41.11°, rel. 9
- d 1.910, 2θ = 47.60°, rel. 19
- d 1.556, 2θ = 59.40°, rel. 37
- d 1.545, 2θ = 59.84°, rel. 16
- d 1.341, 2θ = 70.16°, rel. 10
- d 1.208, 2θ = 79.30°, rel. 8
- d 1.206, 2θ = 79.43°, rel. 8